For Na2NpMnO6, DFT lattice parameters and positions (PBE+U) gives the calculated powder XRD pattern in this record (Cu Kα (weighted mean of Kα1 and Kα2)).
Neutral-atom scattering factors, no anomalous dispersion.

Cell and atoms:
Unit cell a=5.569 b=5.569 c=4.175 alpha=90.00 beta=90.00 gamma=90.00
Sites, in units of the cell vectors:
1 Na 0.000 0.500 0.000
2 Na 0.500 0.000 0.000
3 Np 0.000 0.000 0.513
4 Mn 0.500 0.500 0.491
5 O 0.000 0.000 0.016
6 O 0.255 0.255 0.519
7 O 0.255 0.745 0.519
8 O 0.500 0.500 0.033
9 O 0.745 0.255 0.519
10 O 0.745 0.745 0.519

Top 10 peaks for 10° ≤ 2θ ≤ 90°, low angle first:
15.91°, I 77
21.28°, I 53
22.58°, I 92
26.68°, I 48
31.22°, I 100
32.14°, I 46
36.06°, I 23
42.25°, I 31
46.10°, I 34
56.73°, I 38